Simulated powder diffractogram
Compound: RbEr3F10
Radiation: λ = 1.5418 Å (Cu Kα)
Structure: a structure optimized by DFT (GGA-PBE)

Main lines, in order of rising 2θ (2θ = 5–70°):
- 2θ = 14.46°, d 6.124, I 9
- 2θ = 26.61°, d 3.350, I 43
- 2θ = 27.31°, d 3.266, I 37
- 2θ = 29.17°, d 3.062, I 100
- 2θ = 33.03°, d 2.712, I 20
- 2θ = 43.37°, d 2.086, I 14
- 2θ = 45.31°, d 2.001, I 35
- 2θ = 49.44°, d 1.844, I 31
- 2θ = 53.32°, d 1.718, I 8
- 2θ = 53.72°, d 1.706, I 40
- 2θ = 54.80°, d 1.675, I 22
- 2θ = 69.30°, d 1.356, I 11

Cell and atoms:
Unit cell a=8.005 b=8.005 c=13.062 alpha=90.00 beta=90.00 gamma=120.00
Positions (direct):
Rb  0.000  0.000  0.000
Rb  0.000  0.000  0.500
Rb  0.333  0.667  0.261
Rb  0.667  0.333  0.761
Er  0.012  0.506  0.515
Er  0.174  0.349  0.754
Er  0.174  0.826  0.754
Er  0.349  0.174  0.254
Er  0.494  0.506  0.515
Er  0.494  0.988  0.515
Er  0.506  0.012  0.015
Er  0.506  0.494  0.015
Er  0.651  0.826  0.754
Er  0.826  0.174  0.254
Er  0.826  0.651  0.254
Er  0.988  0.494  0.015
F  0.001  0.335  0.885
F  0.001  0.666  0.885
F  0.039  0.519  0.690
F  0.111  0.221  0.221
F  0.111  0.889  0.221
F  0.183  0.366  0.579
F  0.183  0.817  0.579
F  0.221  0.111  0.721
F  0.221  0.442  0.053
F  0.221  0.779  0.053
F  0.333  0.667  0.470
F  0.333  0.667  0.807
F  0.334  0.335  0.885
F  0.334  0.999  0.885
F  0.335  0.001  0.385
F  0.335  0.334  0.385
F  0.366  0.183  0.079
F  0.442  0.221  0.553
F  0.481  0.519  0.690
F  0.481  0.961  0.690
F  0.519  0.039  0.190
F  0.519  0.481  0.190
F  0.558  0.779  0.053
F  0.634  0.817  0.579
F  0.665  0.666  0.885
F  0.665  0.999  0.885
F  0.666  0.001  0.385
F  0.666  0.665  0.385
F  0.667  0.333  0.307
F  0.667  0.333  0.970
F  0.779  0.221  0.553
F  0.779  0.558  0.553
F  0.779  0.889  0.221
F  0.817  0.183  0.079
F  0.817  0.634  0.079
F  0.889  0.111  0.721
F  0.889  0.779  0.721
F  0.961  0.481  0.190
F  0.999  0.334  0.385
F  0.999  0.665  0.385


Simulated powder diffractogram
Compound: RbEr3F10
Radiation: λ = 1.5418 Å (Cu Kα)
Structure: a structure optimized by DFT (GGA-PBE)

Main lines, in order of rising 2θ (2θ = 5–70°):
- 2θ = 13.22°, d 6.695, I 21
- 2θ = 21.25°, d 4.181, I 40
- 2θ = 25.11°, d 3.547, I 39
- 2θ = 26.63°, d 3.348, I 100
- 2θ = 31.52°, d 2.838, I 24
- 2θ = 34.32°, d 2.613, I 29
- 2θ = 41.72°, d 2.165, I 15
- 2θ = 46.10°, d 1.969, I 15
- 2θ = 47.02°, d 1.933, I 33
- 2θ = 51.54°, d 1.773, I 35
- 2θ = 52.14°, d 1.754, I 16
- 2θ = 65.80°, d 1.419, I 18

Cell and atoms:
Unit cell a=7.730 b=7.730 c=4.181 alpha=90.05 beta=90.05 gamma=60.02
Positions (direct):
Rb  0.000  0.000  0.000
Er  0.510  0.510  0.563
Er  0.510  0.978  0.561
Er  0.978  0.510  0.561
F  0.016  0.489  0.062
F  0.208  0.208  0.599
F  0.208  0.583  0.603
F  0.327  0.835  0.465
F  0.489  0.016  0.062
F  0.491  0.491  0.064
F  0.583  0.208  0.603
F  0.666  0.666  0.740
F  0.835  0.327  0.465
F  0.835  0.835  0.460


Simulated powder diffractogram
Compound: SmErS2F2
Radiation: λ = 1.5418 Å (Cu Kα)
Structure: a structure optimized by DFT (GGA-PBE)

Main lines, in order of rising 2θ (2θ = 5–70°):
- 2θ = 26.17°, d 3.405, I 31
- 2θ = 27.00°, d 3.303, I 100
- 2θ = 33.56°, d 2.670, I 50
- 2θ = 35.50°, d 2.529, I 16
- 2θ = 43.05°, d 2.101, I 54
- 2θ = 46.69°, d 1.945, I 34
- 2θ = 48.19°, d 1.888, I 27
- 2θ = 55.66°, d 1.651, I 16
- 2θ = 56.11°, d 1.639, I 28
- 2θ = 59.57°, d 1.552, I 6
- 2θ = 61.27°, d 1.513, I 6
- 2θ = 69.36°, d 1.355, I 21

Cell and atoms:
Unit cell a=3.777 b=3.777 c=6.809 alpha=90.00 beta=90.00 gamma=90.00
Positions (direct):
Sm  0.000  0.000  0.000
Er  0.500  0.500  0.542
S  0.000  0.000  0.421
S  0.500  0.500  0.135
F  0.000  0.500  0.767
F  0.500  0.000  0.767


Simulated powder diffractogram
Compound: Er2TmF8
Radiation: λ = 1.5418 Å (Cu Kα)
Structure: a structure optimized by DFT (GGA-PBE)

Main lines, in order of rising 2θ (2θ = 5–70°):
- 2θ = 25.17°, d 3.538, I 72
- 2θ = 27.89°, d 3.199, I 76
- 2θ = 28.97°, d 3.082, I 83
- 2θ = 30.26°, d 2.954, I 100
- 2θ = 30.90°, d 2.894, I 46
- 2θ = 36.32°, d 2.473, I 32
- 2θ = 43.97°, d 2.059, I 31
- 2θ = 44.62°, d 2.031, I 27
- 2θ = 50.85°, d 1.796, I 40
- 2θ = 51.74°, d 1.767, I 35
- 2θ = 53.07°, d 1.726, I 24
- 2θ = 55.12°, d 1.666, I 31

Cell and atoms:
Unit cell a=5.987 b=5.987 c=4.043 alpha=97.85 beta=97.85 gamma=113.08
Positions (direct):
Er  0.181  0.819  0.000
Er  0.819  0.181  0.000
Tm  0.500  0.500  0.500
F  0.138  0.138  0.309
F  0.172  0.435  0.889
F  0.271  0.729  0.500
F  0.435  0.172  0.889
F  0.565  0.828  0.111
F  0.729  0.271  0.500
F  0.828  0.565  0.111
F  0.862  0.862  0.691


Simulated powder diffractogram
Compound: ErFe3
Radiation: λ = 1.5418 Å (Cu Kα)
Structure: a structure optimized by DFT (GGA-PBE)

Main lines, in order of rising 2θ (2θ = 5–70°):
- 2θ = 27.38°, d 3.257, I 49
- 2θ = 30.91°, d 2.893, I 22
- 2θ = 35.84°, d 2.506, I 25
- 2θ = 41.76°, d 2.163, I 100
- 2θ = 42.17°, d 2.143, I 24
- 2θ = 48.03°, d 1.894, I 13
- 2θ = 52.84°, d 1.733, I 6
- 2θ = 53.19°, d 1.722, I 10
- 2θ = 56.51°, d 1.629, I 13
- 2θ = 59.38°, d 1.556, I 5
- 2θ = 64.40°, d 1.447, I 14
- 2θ = 65.80°, d 1.419, I 10

Cell and atoms:
Unit cell a=5.787 b=5.787 c=4.286 alpha=90.00 beta=90.00 gamma=120.00
Positions (direct):
Er  0.333  0.667  0.250
Er  0.667  0.333  0.750
Fe  0.138  0.277  0.750
Fe  0.138  0.862  0.750
Fe  0.277  0.138  0.250
Fe  0.723  0.862  0.750
Fe  0.862  0.138  0.250
Fe  0.862  0.723  0.250


Simulated powder diffractogram
Compound: Er4Ga12Fe
Radiation: λ = 1.5418 Å (Cu Kα)
Structure: a structure optimized by DFT (GGA-PBE)

Main lines, in order of rising 2θ (2θ = 5–70°):
- 2θ = 20.83°, d 4.265, I 12
- 2θ = 29.62°, d 3.016, I 26
- 2θ = 33.22°, d 2.697, I 3
- 2θ = 36.49°, d 2.462, I 100
- 2θ = 39.53°, d 2.280, I 4
- 2θ = 42.39°, d 2.132, I 57
- 2θ = 47.68°, d 1.907, I 8
- 2θ = 50.17°, d 1.818, I 4
- 2θ = 52.56°, d 1.741, I 8
- 2θ = 61.50°, d 1.508, I 35
- 2θ = 65.68°, d 1.422, I 5
- 2θ = 69.73°, d 1.349, I 7

Cell and atoms:
Unit cell a=7.387 b=7.387 c=7.387 alpha=109.47 beta=109.47 gamma=109.47
Positions (direct):
Er  0.000  0.000  0.500
Er  0.000  0.500  0.000
Er  0.500  0.000  0.000
Er  0.500  0.500  0.500
Ga  0.000  0.284  0.284
Ga  0.000  0.716  0.716
Ga  0.250  0.500  0.750
Ga  0.250  0.750  0.500
Ga  0.284  0.000  0.284
Ga  0.284  0.284  0.000
Ga  0.500  0.250  0.750
Ga  0.500  0.750  0.250
Ga  0.716  0.000  0.716
Ga  0.716  0.716  0.000
Ga  0.750  0.250  0.500
Ga  0.750  0.500  0.250
Fe  0.000  0.000  0.000


Simulated powder diffractogram
Compound: HoErGa2Fe4
Radiation: λ = 1.5418 Å (Cu Kα)
Structure: a structure optimized by DFT (GGA-PBE)

Main lines, in order of rising 2θ (2θ = 5–70°):
- 2θ = 31.96°, d 2.800, I 100
- 2θ = 34.89°, d 2.572, I 14
- 2θ = 36.46°, d 2.465, I 26
- 2θ = 39.53°, d 2.280, I 81
- 2θ = 39.76°, d 2.267, I 26
- 2θ = 43.33°, d 2.088, I 24
- 2θ = 45.45°, d 1.996, I 23
- 2θ = 46.19°, d 1.965, I 29
- 2θ = 60.24°, d 1.536, I 18
- 2θ = 62.42°, d 1.488, I 14
- 2θ = 62.80°, d 1.480, I 15
- 2θ = 67.67°, d 1.385, I 16

Cell and atoms:
Unit cell a=3.931 b=4.929 c=6.801 alpha=90.00 beta=90.00 gamma=90.00
Positions (direct):
Ho  0.000  0.000  0.000
Er  0.000  0.500  0.373
Ga  0.500  0.000  0.353
Ga  0.500  0.500  0.020
Fe  0.000  0.000  0.590
Fe  0.000  0.500  0.781
Fe  0.500  0.250  0.686
Fe  0.500  0.750  0.686


Simulated powder diffractogram
Compound: ErLuGa2Fe4
Radiation: λ = 1.5418 Å (Cu Kα)
Structure: a structure optimized by DFT (GGA-PBE)

Main lines, in order of rising 2θ (2θ = 5–70°):
- 2θ = 22.63°, d 3.930, I 13
- 2θ = 32.03°, d 2.795, I 100
- 2θ = 35.00°, d 2.564, I 14
- 2θ = 36.54°, d 2.459, I 25
- 2θ = 39.64°, d 2.274, I 79
- 2θ = 39.97°, d 2.256, I 26
- 2θ = 43.41°, d 2.085, I 24
- 2θ = 45.58°, d 1.990, I 23
- 2θ = 46.20°, d 1.965, I 29
- 2θ = 62.71°, d 1.482, I 27
- 2θ = 62.95°, d 1.476, I 15
- 2θ = 67.85°, d 1.381, I 16

Cell and atoms:
Unit cell a=3.930 b=4.919 c=6.767 alpha=90.00 beta=90.00 gamma=90.00
Positions (direct):
Er  0.000  0.000  0.000
Lu  0.000  0.500  0.374
Ga  0.500  0.000  0.352
Ga  0.500  0.500  0.021
Fe  0.000  0.000  0.590
Fe  0.000  0.500  0.781
Fe  0.500  0.250  0.686
Fe  0.500  0.750  0.686